This entry pairs a crystal structure of Rb2Cd5Hg12 with its computed powder diffractogram. Radiation: copper Kα. Structure: a crystal structure in Alexandria, relaxed with GGA-PBE.
Lines closer than 0.1° are merged.

Most intense lines, 15 to 90 degrees two-theta, low angle first:
2theta, Rel. int.
16.7, 46
28.9, 49
29.1, 22
32.2, 38
33.2, 27
33.3, 100
33.7, 41
36.5, 30
37.5, 97
60.3, 21

Cell and atoms:
a = 8.2797 Å, b = 8.2797 Å, c = 8.2797 Å
α = 79.93°, β = 79.93°, γ = 79.93°
Sites, in units of the cell vectors:
Rb  0.1586  0.1586  0.1586
Rb  0.8414  0.8414  0.8414
Cd  0.0000  0.5000  0.5000
Cd  0.4043  0.4043  0.4043
Cd  0.5000  0.0000  0.5000
Cd  0.5000  0.5000  0.0000
Cd  0.5957  0.5957  0.5957
Hg  0.1439  0.1439  0.6425
Hg  0.1439  0.6425  0.1439
Hg  0.2068  0.5000  0.7932
Hg  0.2068  0.7932  0.5000
Hg  0.3575  0.8561  0.8561
Hg  0.5000  0.2068  0.7932
Hg  0.5000  0.7932  0.2068
Hg  0.6425  0.1439  0.1439
Hg  0.7932  0.2068  0.5000
Hg  0.7932  0.5000  0.2068
Hg  0.8561  0.3575  0.8561
Hg  0.8561  0.8561  0.3575